Starting from a structure optimized by DFT (GGA+U), the PXRD pattern of Ba2UCoO6 was computed for a wavelength of 1.5418 Å.

Atomic structure:
a = 8.4482 Å, b = 8.4482 Å, c = 8.4482 Å
α = 90.00°, β = 90.00°, γ = 90.00°
Space group Fm-3m (No. 225)
Asymmetric unit:
Ba (0.2500, 0.2500, 0.2500) (multiplicity 8)
U (0.0000, 0.0000, 0.0000) (multiplicity 4)
Co (0.0000, 0.0000, 0.5000) (multiplicity 4)
O (0.0000, 0.0000, 0.2484) (multiplicity 24)

The 6 most intense peaks (2θ = 15–90°), sorted by position:
2θ = 18.19°, d = 4.878 Å, intensity 21.4, hkl 1 1 1
2θ = 29.91°, d = 2.987 Å, intensity 100.0, hkl 2 2 0
2θ = 42.82°, d = 2.112 Å, intensity 29.3, hkl 4 0 0
2θ = 53.11°, d = 1.724 Å, intensity 41.0, hkl 4 2 2
2θ = 62.16°, d = 1.493 Å, intensity 18.6, hkl 4 4 0
2θ = 86.14°, d = 1.129 Å, intensity 22.3, hkl 6 4 2



Starting from a structure optimized by DFT (GGA+U), the PXRD pattern of BaV2Co2O8 was computed for a wavelength of 1.5418 Å.

Atomic structure:
a = 12.6612 Å, b = 12.6612 Å, c = 8.5109 Å
α = 90.00°, β = 90.00°, γ = 90.00°
Space group I4_1/acd (No. 142, origin choice 2)
Asymmetric unit:
Ba (0.0000, 0.2500, 0.3750) (multiplicity 8)
V (0.0793, 0.0000, 0.2500) (multiplicity 16)
Co (0.1685, 0.0815, 0.6250) (multiplicity 16)
O (0.0031, 0.0880, 0.6539) (multiplicity 32)
O (0.1579, 0.0729, 0.3845) (multiplicity 32)

The 6 most intense peaks (2θ = 15–90°), sorted by position:
2θ = 25.22°, d = 3.532 Å, intensity 25.4, hkl 2 0 2
2θ = 30.66°, d = 2.916 Å, intensity 100.0, hkl 3 1 2
2θ = 30.96°, d = 2.889 Å, intensity 45.3, hkl 4 1 1
2θ = 31.60°, d = 2.831 Å, intensity 55.5, hkl 4 2 0
2θ = 46.98°, d = 1.934 Å, intensity 34.5, hkl 5 3 2
2θ = 61.93°, d = 1.498 Å, intensity 39.7, hkl 6 0 4



Starting from a structure optimized by DFT (GGA+U), the PXRD pattern of Ba2CoWO6 was computed for a wavelength of 1.5418 Å.

Atomic structure:
a = 5.7564 Å, b = 5.7564 Å, c = 8.4367 Å
α = 90.00°, β = 90.00°, γ = 90.00°
Space group I4/mmm (No. 139)
Asymmetric unit:
Ba (0.0000, 0.5000, 0.2500) (multiplicity 4)
Co (0.0000, 0.0000, 0.0000) (multiplicity 2)
W (0.0000, 0.0000, 0.5000) (multiplicity 2)
O (0.0000, 0.0000, 0.2679) (multiplicity 4)
O (0.2415, 0.2415, 0.5000) (multiplicity 8)

The 6 most intense peaks (2θ = 15–90°), sorted by position:
2θ = 18.66°, d = 4.755 Å, intensity 22.9, hkl 1 0 1
2θ = 30.52°, d = 2.929 Å, intensity 100.0, hkl 1 1 2
2θ = 31.07°, d = 2.878 Å, intensity 47.6, hkl 2 0 0
2θ = 44.52°, d = 2.035 Å, intensity 28.1, hkl 2 2 0
2θ = 53.89°, d = 1.701 Å, intensity 20.2, hkl 2 0 4
2θ = 54.94°, d = 1.671 Å, intensity 38.5, hkl 3 1 2



Starting from a structure optimized by DFT (GGA+U), the PXRD pattern of Ba2CoWO6 was computed for a wavelength of 1.5418 Å.

Atomic structure:
a = 5.8239 Å, b = 5.8328 Å, c = 8.2208 Å
α = 90.00°, β = 90.00°, γ = 90.00°
Space group Immm (No. 71)
Asymmetric unit:
Ba (0.0000, 0.0000, 0.2495) (multiplicity 4)
Co (0.0000, 0.5000, 0.5000) (multiplicity 2)
W (0.0000, 0.5000, 0.0000) (multiplicity 2)
O (0.0000, 0.5000, 0.2389) (multiplicity 4)
O (0.2380, 0.2620, 0.0000) (multiplicity 8)

The 6 most intense peaks (2θ = 15–90°), sorted by position:
2θ = 18.66°, d = 4.755 Å, intensity 15.6, hkl 1 0 1
2θ = 30.71°, d = 2.912 Å, intensity 100.0, hkl 2 0 0
2θ = 43.94°, d = 2.061 Å, intensity 19.8, hkl 2 2 0
2θ = 54.58°, d = 1.681 Å, intensity 33.2, hkl 3 1 2
2θ = 63.97°, d = 1.455 Å, intensity 15.2, hkl 4 0 0
2θ = 72.54°, d = 1.303 Å, intensity 11.7, hkl 4 2 0



Starting from a structure optimized by DFT (GGA+U), the PXRD pattern of Ba2YCo3O8 was computed for a wavelength of 1.5418 Å.

Atomic structure:
a = 3.9140 Å, b = 3.9140 Å, c = 12.1001 Å
α = 90.00°, β = 90.00°, γ = 90.00°
Space group P4/mmm (No. 123)
Asymmetric unit:
Ba (0.0000, 0.0000, 0.1676) (multiplicity 2)
Y (0.0000, 0.0000, 0.5000) (multiplicity 1)
Co (0.5000, 0.5000, 0.0000) (multiplicity 1)
Co (0.5000, 0.5000, 0.3389) (multiplicity 2)
O (0.0000, 0.5000, 0.0000) (multiplicity 2)
O (0.0000, 0.5000, 0.3824) (multiplicity 4)
O (0.5000, 0.5000, 0.1915) (multiplicity 2)

The 6 most intense peaks (2θ = 15–90°), sorted by position:
2θ = 31.86°, d = 2.809 Å, intensity 100.0, hkl 1 0 3
2θ = 32.35°, d = 2.768 Å, intensity 41.3, hkl 1 1 0
2θ = 39.49°, d = 2.282 Å, intensity 15.2, hkl 1 1 3
2θ = 46.40°, d = 1.957 Å, intensity 28.8, hkl 2 0 0
2θ = 56.46°, d = 1.630 Å, intensity 21.1, hkl 1 1 6
2θ = 57.39°, d = 1.606 Å, intensity 36.3, hkl 2 1 3